Starting from a crystal structure in Alexandria, relaxed with PBE+U, the powder diffraction line list of CaFeSeO was simulated for Cu Kα X-rays.
No peak broadening, texture or thermal motion is included.

Most intense lines, 2θ = 10–90°, most intense first:
2θ/deg  d_spacing  intensity  hkl
30.25  2.954  100  0 1 3
42.81  2.112  36  2 1 3
29.57  3.021  31  2 0 0
40.03  2.252  21  0 0 6
46.38  1.958  19  0 2 0
19.72  4.503  18  1 0 2
38.22  2.355  17  2 1 1
52.90  1.731  16  0 1 7
43.36  2.087  12  1 1 5
61.78  1.502  10  2 1 7

Structural model:
abc: 6.041 3.915 13.509
angles: 90.00 90.00 90.00
Fractional coordinates of all 16 atoms:
Ca  0.248  0.250  0.083
Ca  0.252  0.750  0.583
Ca  0.748  0.250  0.417
Ca  0.752  0.750  0.917
Fe  0.119  0.250  0.796
Fe  0.381  0.750  0.296
Fe  0.619  0.250  0.704
Fe  0.881  0.750  0.204
Se  0.242  0.250  0.408
Se  0.258  0.750  0.908
Se  0.742  0.250  0.092
Se  0.758  0.750  0.592
O  0.204  0.750  0.174
O  0.296  0.250  0.674
O  0.704  0.750  0.326
O  0.796  0.250  0.826